Diffraction record for Ba2Mn2Sb2O. The powder diffraction line list is computed, not measured: it uses a cell relaxed with GGA+U and Cu Kα.
Neutral-atom scattering factors, no anomalous dispersion.

The 10 most intense peaks (10 to 80 degrees two-theta), by angle:
2θ/deg, I/Imax
25.1, 199
27.7, 1000
35.2, 132
37.5, 519
37.7, 119
47.2, 228
52.4, 247
54.2, 114
61.8, 203
67.6, 101

Structural model:
```
data_Ba2Mn2Sb2O
_chemical_formula_sum 'Ba4 Mn4 Sb4 O2'
_space_group_name_H-M_alt 'P 63/m m c'
_space_group_IT_number 194
_space_group_name_Hall '-P 6c 2c'
_cell_length_a 4.8025
_cell_length_b 4.8025
_cell_length_c 20.3735
_cell_angle_alpha 90.00
_cell_angle_beta 90.00
_cell_angle_gamma 120.00
loop_
_atom_site_label
_atom_site_type_symbol
_atom_site_fract_x
_atom_site_fract_y
_atom_site_fract_z
Ba1 Ba 0.0000 0.0000 0.0000
Ba2 Ba 0.0000 0.0000 0.2500
Mn1 Mn 0.3333 0.6667 0.1487
Sb1 Sb 0.3333 0.6667 0.6114
O1 O 0.3333 0.6667 0.2500
```